[1]
Computed XRD peak list
Compound: Cu3S2Cl
Radiation: Cu Ka
Structure: a DFT-relaxed cell (GGA-PBE, Alexandria)
No peak broadening, texture or thermal motion is included.

Cell and atoms:
abc: 6.522 11.332 6.419
angles: 90.00 108.94 90.00
Space group Cc (No. 9)
Asymmetric unit:
Cu 0.000 0.085 0.000 (multiplicity 4)
Cu 0.044 0.235 0.502 (multiplicity 4)
Cu 0.054 0.403 0.023 (multiplicity 4)
S 0.406 0.251 0.636 (multiplicity 4)
S 0.410 0.418 0.134 (multiplicity 4)
Cl 0.406 0.082 0.132 (multiplicity 4)

Main lines, in order of rising 2θ (10° ≤ 2θ ≤ 90°):
| Position (°2θ) | intensity |
| --- | --- |
| 28.95 | 49 |
| 29.09 | 100 |
| 29.42 | 50 |
| 33.63 | 12 |
| 48.18 | 18 |
| 48.30 | 36 |
| 48.42 | 19 |
| 48.92 | 39 |
| 57.20 | 22 |
| 57.76 | 12 |

=====

[2]
Computed XRD peak list
Compound: NbSiRu
Radiation: Cu Ka
Structure: a DFT-relaxed cell (GGA-PBE, Alexandria)
No peak broadening, texture or thermal motion is included.

Cell and atoms:
abc: 2.947 2.947 10.128
angles: 90.00 90.00 90.00
Space group I4mm (No. 107)
Asymmetric unit:
Nb 0.000 0.000 0.000 (multiplicity 2)
Si 0.000 0.000 0.682 (multiplicity 2)
Ru 0.000 0.000 0.308 (multiplicity 2)

Main lines, in order of rising 2θ (10° ≤ 2θ ≤ 90°):
| Position (°2θ) | intensity |
| --- | --- |
| 17.51 | 10 |
| 31.62 | 30 |
| 35.45 | 12 |
| 40.64 | 100 |
| 43.42 | 45 |
| 57.25 | 12 |
| 63.09 | 14 |
| 71.99 | 14 |
| 72.82 | 10 |
| 77.79 | 28 |

=====

[3]
Computed XRD peak list
Compound: Ti2Ir2Pd
Radiation: Cu Ka
Structure: a DFT-relaxed cell (GGA-PBE, Alexandria)
No peak broadening, texture or thermal motion is included.

Cell and atoms:
abc: 7.342 7.342 2.939
angles: 90.00 90.00 90.00
Space group P4/mbm (No. 127)
Asymmetric unit:
Ti 0.160 0.340 0.000 (multiplicity 4)
Ir 0.137 0.637 0.500 (multiplicity 4)
Pd 0.000 0.000 0.500 (multiplicity 2)

Main lines, in order of rising 2θ (10° ≤ 2θ ≤ 90°):
| Position (°2θ) | intensity |
| --- | --- |
| 27.16 | 52 |
| 30.41 | 34 |
| 38.79 | 63 |
| 41.22 | 100 |
| 44.49 | 11 |
| 49.67 | 11 |
| 50.07 | 33 |
| 54.85 | 15 |
| 76.75 | 17 |
| 77.12 | 22 |

=====

[4]
Computed XRD peak list
Compound: La2HfAgPb
Radiation: Cu Ka
Structure: a DFT-relaxed cell (GGA-PBE, Alexandria)
No peak broadening, texture or thermal motion is included.

Cell and atoms:
abc: 6.104 6.104 5.136
angles: 90.00 90.00 90.00
Space group P4/mmm (No. 123)
Asymmetric unit:
La 0.000 0.500 0.000 (multiplicity 2)
Hf 0.000 0.000 0.500 (multiplicity 1)
Ag 0.500 0.500 0.500 (multiplicity 1)
Pb 0.500 0.500 0.000 (multiplicity 1)

Main lines, in order of rising 2θ (10° ≤ 2θ ≤ 90°):
| Position (°2θ) | intensity |
| --- | --- |
| 20.58 | 19 |
| 22.63 | 45 |
| 26.98 | 54 |
| 29.26 | 100 |
| 34.94 | 31 |
| 37.30 | 26 |
| 41.86 | 38 |
| 46.20 | 57 |
| 55.63 | 33 |
| 79.53 | 24 |